Theoretical X-ray powder pattern
Compound: AgHg4F10
Radiation: CuKα
Structure: a DFT-relaxed cell (PBE, Alexandria)
Kinematic intensities with the Lorentz-polarization factor, no thermal factor.

Main lines, by intensity (10° ≤ 2θ ≤ 90°):
27.5 deg, 3.243 Å, I = 100
45.7 deg, 1.986 Å, I = 56
54.2 deg, 1.693 Å, I = 47
31.9 deg, 2.808 Å, I = 31
73.5 deg, 1.288 Å, I = 19
84.5 deg, 1.146 Å, I = 18

Cell and atoms:
```
data_AgHg4F10
_space_group_name_H-M_alt 'I 4/m m m'
_space_group_IT_number 139
_space_group_name_Hall '-I 4 2'
_cell_length_a 3.973
_cell_length_b 3.973
_cell_length_c 28.061
_cell_angle_alpha 90.00
_cell_angle_beta 90.00
_cell_angle_gamma 90.00
loop_
_atom_site_label
_atom_site_type_symbol
_atom_site_fract_x
_atom_site_fract_y
_atom_site_fract_z
_atom_site_occupancy
Ag1 Ag 0.000 0.000 0.000 1
Hg1 Hg 0.000 0.000 0.199 1
Hg2 Hg 0.000 0.000 0.402 1
F1 F 0.000 0.500 0.048 1
F2 F 0.000 0.500 0.149 1
F3 F 0.000 0.500 0.250 1
```

Theoretical X-ray powder pattern
Compound: Ag3HgF6
Radiation: CuKα
Structure: a DFT-relaxed cell (PBE, Alexandria)
Kinematic intensities with the Lorentz-polarization factor, no thermal factor.

Main lines, by intensity (10° ≤ 2θ ≤ 90°):
27.1 deg, 3.292 Å, I = 100
28.8 deg, 3.100 Å, I = 84
45.6 deg, 1.988 Å, I = 66
33.5 deg, 2.676 Å, I = 37
55.1 deg, 1.667 Å, I = 27
58.0 deg, 1.591 Å, I = 24

Cell and atoms:
```
data_Ag3HgF6
_space_group_name_H-M_alt 'C m m m'
_space_group_IT_number 65
_space_group_name_Hall '-C 2 2'
_cell_length_a 7.910
_cell_length_b 11.877
_cell_length_c 3.634
_cell_angle_alpha 90.00
_cell_angle_beta 90.00
_cell_angle_gamma 90.00
loop_
_atom_site_label
_atom_site_type_symbol
_atom_site_fract_x
_atom_site_fract_y
_atom_site_fract_z
_atom_site_occupancy
Ag1 Ag 0.000 0.000 0.000 1
Ag2 Ag 0.250 0.250 0.500 1
Hg1 Hg 0.000 0.500 0.000 1
F1 F 0.000 0.380 0.500 1
F2 F 0.202 0.125 0.000 1
```

Theoretical X-ray powder pattern
Compound: Ag2HgF3
Radiation: CuKα
Structure: a DFT-relaxed cell (PBE, Alexandria)
Kinematic intensities with the Lorentz-polarization factor, no thermal factor.

Main lines, by intensity (10° ≤ 2θ ≤ 90°):
29.7 deg, 3.004 Å, I = 100
16.6 deg, 5.349 Å, I = 65
38.2 deg, 2.357 Å, I = 61
30.9 deg, 2.891 Å, I = 58
33.1 deg, 2.706 Å, I = 50
28.4 deg, 3.142 Å, I = 44

Cell and atoms:
```
data_Ag2HgF3
_space_group_name_H-M_alt 'C 1 2/c 1'
_space_group_IT_number 15
_cell_length_a 11.247
_cell_length_b 6.125
_cell_length_c 5.922
_cell_angle_alpha 90.00
_cell_angle_beta 102.46
_cell_angle_gamma 90.00
loop_
_space_group_symop_operation_xyz
'x,y,z'
'-x,-y,-z'
'-x,y,-z+1/2'
'x,-y,z+1/2'
'x+1/2,y+1/2,z'
'-x+1/2,-y+1/2,-z'
'-x+1/2,y+1/2,-z+1/2'
'x+1/2,-y+1/2,z+1/2'
loop_
_atom_site_label
_atom_site_type_symbol
_atom_site_fract_x
_atom_site_fract_y
_atom_site_fract_z
_atom_site_occupancy
Ag1 Ag 0.144 0.208 0.196 1
Hg1 Hg 0.000 0.427 0.750 1
F1 F 0.000 0.055 0.750 1
F2 F 0.226 0.499 0.998 1
```

Theoretical X-ray powder pattern
Compound: AgHg2F4
Radiation: CuKα
Structure: a DFT-relaxed cell (PBE, Alexandria)
Kinematic intensities with the Lorentz-polarization factor, no thermal factor.

Main lines, by intensity (10° ≤ 2θ ≤ 90°):
30.3 deg, 2.947 Å, I = 100
28.6 deg, 3.123 Å, I = 84
28.8 deg, 3.104 Å, I = 84
29.7 deg, 3.012 Å, I = 84
15.0 deg, 5.895 Å, I = 80
49.7 deg, 1.833 Å, I = 41

Cell and atoms:
```
data_AgHg2F4
_space_group_name_H-M_alt 'F d d d'
_space_group_IT_number 70
_cell_length_a 9.909
_cell_length_b 10.326
_cell_length_c 10.417
_cell_angle_alpha 90.00
_cell_angle_beta 90.00
_cell_angle_gamma 90.00
loop_
_space_group_symop_operation_xyz
'x,y,z'
'-x,-y,-z'
'-x+1/4,-y+1/4,z'
'x+1/4,y+1/4,-z'
'x,-y+1/4,-z+1/4'
'-x,y+1/4,z+1/4'
'-x+1/4,y,-z+1/4'
'x+1/4,-y,z+1/4'
'x,y+1/2,z+1/2'
'-x,-y+1/2,-z+1/2'
'-x+1/4,-y+3/4,z+1/2'
'x+1/4,y+3/4,-z+1/2'
'x,-y+3/4,-z+3/4'
'-x,y+3/4,z+3/4'
'-x+1/4,y+1/2,-z+3/4'
'x+1/4,-y+1/2,z+3/4'
'x+1/2,y,z+1/2'
'-x+1/2,-y,-z+1/2'
'-x+3/4,-y+1/4,z+1/2'
'x+3/4,y+1/4,-z+1/2'
'x+1/2,-y+1/4,-z+3/4'
'-x+1/2,y+1/4,z+3/4'
'-x+3/4,y,-z+3/4'
'x+3/4,-y,z+3/4'
'x+1/2,y+1/2,z'
'-x+1/2,-y+1/2,-z'
'-x+3/4,-y+3/4,z'
'x+3/4,y+3/4,-z'
'x+1/2,-y+3/4,-z+1/4'
'-x+1/2,y+3/4,z+1/4'
'-x+3/4,y+1/2,-z+1/4'
'x+3/4,-y+1/2,z+1/4'
loop_
_atom_site_label
_atom_site_type_symbol
_atom_site_fract_x
_atom_site_fract_y
_atom_site_fract_z
_atom_site_occupancy
Ag1 Ag 0.125 0.125 0.125 1
Hg1 Hg 0.000 0.000 0.500 1
F1 F 0.003 0.013 0.735 1
```

Theoretical X-ray powder pattern
Compound: Ag4Hg6F19
Radiation: CuKα
Structure: a DFT-relaxed cell (PBE, Alexandria)
Kinematic intensities with the Lorentz-polarization factor, no thermal factor.

Main lines, by intensity (10° ≤ 2θ ≤ 90°):
27.4 deg, 3.259 Å, I = 100
29.7 deg, 3.006 Å, I = 85
26.9 deg, 3.317 Å, I = 81
30.3 deg, 2.954 Å, I = 71
22.6 deg, 3.941 Å, I = 71
21.0 deg, 4.227 Å, I = 67

Cell and atoms:
```
data_Ag4Hg6F19
_space_group_name_H-M_alt 'P 1'
_space_group_IT_number 1
_cell_length_a 8.566
_cell_length_b 8.765
_cell_length_c 8.880
_cell_angle_alpha 113.18
_cell_angle_beta 107.62
_cell_angle_gamma 105.54
loop_
_space_group_symop_operation_xyz
'x,y,z'
loop_
_atom_site_label
_atom_site_type_symbol
_atom_site_fract_x
_atom_site_fract_y
_atom_site_fract_z
_atom_site_occupancy
Ag1 Ag 0.000 0.000 0.000 1
Ag2 Ag 0.011 0.717 0.255 1
Ag3 Ag 0.275 0.745 0.969 1
Ag4 Ag 0.724 0.446 0.702 1
Hg1 Hg 0.177 0.233 0.711 1
Hg2 Hg 0.226 0.493 0.509 1
Hg3 Hg 0.467 0.455 0.231 1
Hg4 Hg 0.488 0.996 0.733 1
Hg5 Hg 0.708 0.935 0.454 1
Hg6 Hg 0.733 0.206 0.223 1
F1 F 0.069 0.505 0.715 1
F2 F 0.128 0.851 0.119 1
F3 F 0.205 0.278 0.233 1
F4 F 0.211 0.942 0.543 1
F5 F 0.312 0.493 0.013 1
F6 F 0.378 0.368 0.648 1
F7 F 0.410 0.756 0.795 1
F8 F 0.455 0.724 0.464 1
F9 F 0.472 0.189 0.003 1
F10 F 0.521 0.961 0.211 1
F11 F 0.634 0.382 0.420 1
F12 F 0.643 0.157 0.621 1
F13 F 0.743 0.691 0.307 1
F14 F 0.765 0.087 0.959 1
F15 F 0.815 0.725 0.794 1
F16 F 0.825 0.519 0.975 1
F17 F 0.924 0.133 0.404 1
F18 F 0.975 0.060 0.742 1
F19 F 0.976 0.485 0.327 1
```

Theoretical X-ray powder pattern
Compound: Ag4HgF7
Radiation: CuKα
Structure: a DFT-relaxed cell (PBE, Alexandria)
Kinematic intensities with the Lorentz-polarization factor, no thermal factor.

Main lines, by intensity (10° ≤ 2θ ≤ 90°):
27.6 deg, 3.227 Å, I = 100
28.3 deg, 3.151 Å, I = 89
37.0 deg, 2.431 Å, I = 62
29.7 deg, 3.004 Å, I = 55
31.2 deg, 2.867 Å, I = 52
27.3 deg, 3.262 Å, I = 46

Cell and atoms:
```
data_Ag4HgF7
_space_group_name_H-M_alt 'C 1 m 1'
_space_group_IT_number 8
_cell_length_a 11.471
_cell_length_b 3.418
_cell_length_c 10.083
_cell_angle_alpha 90.00
_cell_angle_beta 108.00
_cell_angle_gamma 90.00
loop_
_space_group_symop_operation_xyz
'x,y,z'
'x,-y,z'
'x+1/2,y+1/2,z'
'x+1/2,-y+1/2,z'
loop_
_atom_site_label
_atom_site_type_symbol
_atom_site_fract_x
_atom_site_fract_y
_atom_site_fract_z
_atom_site_occupancy
Ag1 Ag 0.000 0.000 0.000 1
Ag2 Ag 0.090 0.500 0.370 1
Ag3 Ag 0.294 0.000 0.193 1
Ag4 Ag 0.407 0.000 0.596 1
Hg1 Hg 0.192 0.000 0.773 1
F1 F 0.050 0.000 0.557 1
F2 F 0.059 0.500 0.816 1
F3 F 0.142 0.500 0.125 1
F4 F 0.241 0.000 0.405 1
F5 F 0.309 0.500 0.709 1
F6 F 0.346 0.000 0.980 1
F7 F 0.447 0.500 0.256 1
```

Theoretical X-ray powder pattern
Compound: AgHg2F4
Radiation: CuKα
Structure: a DFT-relaxed cell (PBE, Alexandria)
Kinematic intensities with the Lorentz-polarization factor, no thermal factor.

Main lines, by intensity (10° ≤ 2θ ≤ 90°):
28.6 deg, 3.121 Å, I = 100
29.3 deg, 3.046 Å, I = 75
32.6 deg, 2.744 Å, I = 53
45.6 deg, 1.988 Å, I = 41
24.3 deg, 3.661 Å, I = 39
31.0 deg, 2.885 Å, I = 38

Cell and atoms:
```
data_AgHg2F4
_space_group_name_H-M_alt 'P 1 21/m 1'
_space_group_IT_number 11
_cell_length_a 5.773
_cell_length_b 5.488
_cell_length_c 7.778
_cell_angle_alpha 90.00
_cell_angle_beta 109.71
_cell_angle_gamma 90.00
loop_
_space_group_symop_operation_xyz
'x,y,z'
'-x,-y,-z'
'-x,y+1/2,-z'
'x,-y+1/2,z'
loop_
_atom_site_label
_atom_site_type_symbol
_atom_site_fract_x
_atom_site_fract_y
_atom_site_fract_z
_atom_site_occupancy
Ag1 Ag 0.093 0.250 0.132 1
Hg1 Hg 0.205 0.750 0.461 1
Hg2 Hg 0.414 0.250 0.924 1
F1 F 0.134 0.503 0.699 1
F2 F 0.214 0.750 0.149 1
F3 F 0.391 0.250 0.406 1
```

Theoretical X-ray powder pattern
Compound: AgHg2F5
Radiation: CuKα
Structure: a DFT-relaxed cell (PBE, Alexandria)
Kinematic intensities with the Lorentz-polarization factor, no thermal factor.

Main lines, by intensity (10° ≤ 2θ ≤ 90°):
28.5 deg, 3.128 Å, I = 100
30.6 deg, 2.925 Å, I = 94
28.7 deg, 3.109 Å, I = 50
42.4 deg, 2.131 Å, I = 44
61.0 deg, 1.519 Å, I = 37
38.7 deg, 2.325 Å, I = 37

Cell and atoms:
```
data_AgHg2F5
_space_group_name_H-M_alt 'P n m a'
_space_group_IT_number 62
_cell_length_a 10.858
_cell_length_b 6.954
_cell_length_c 6.218
_cell_angle_alpha 90.00
_cell_angle_beta 90.00
_cell_angle_gamma 90.00
loop_
_space_group_symop_operation_xyz
'x,y,z'
'-x,-y,-z'
'-x+1/2,-y,z+1/2'
'x+1/2,y,-z+1/2'
'x+1/2,-y+1/2,-z+1/2'
'-x+1/2,y+1/2,z+1/2'
'-x,y+1/2,-z'
'x,-y+1/2,z'
loop_
_atom_site_label
_atom_site_type_symbol
_atom_site_fract_x
_atom_site_fract_y
_atom_site_fract_z
_atom_site_occupancy
Ag1 Ag 0.001 0.250 0.015 1
Hg1 Hg 0.171 0.001 0.483 1
F1 F 0.011 0.250 0.488 1
F2 F 0.117 0.005 0.843 1
F3 F 0.190 0.750 0.220 1
F4 F 0.207 0.250 0.204 1
```

Theoretical X-ray powder pattern
Compound: Ag4Hg2F5
Radiation: CuKα
Structure: a DFT-relaxed cell (PBE, Alexandria)
Kinematic intensities with the Lorentz-polarization factor, no thermal factor.

Main lines, by intensity (10° ≤ 2θ ≤ 90°):
27.6 deg, 3.229 Å, I = 100
33.5 deg, 2.675 Å, I = 81
37.0 deg, 2.430 Å, I = 40
37.1 deg, 2.422 Å, I = 38
28.6 deg, 3.117 Å, I = 37
32.4 deg, 2.764 Å, I = 33

Cell and atoms:
```
data_Ag4Hg2F5
_space_group_name_H-M_alt 'P -1'
_space_group_IT_number 2
_cell_length_a 3.107
_cell_length_b 7.785
_cell_length_c 8.405
_cell_angle_alpha 107.12
_cell_angle_beta 100.44
_cell_angle_gamma 90.19
loop_
_space_group_symop_operation_xyz
'x,y,z'
'-x,-y,-z'
loop_
_atom_site_label
_atom_site_type_symbol
_atom_site_fract_x
_atom_site_fract_y
_atom_site_fract_z
_atom_site_occupancy
Ag1 Ag 0.025 0.323 0.044 1
Ag2 Ag 0.279 0.302 0.562 1
Hg1 Hg 0.350 0.920 0.698 1
F1 F 0.110 0.796 0.227 1
F2 F 0.159 0.459 0.312 1
F3 F 0.500 0.000 0.000 1
```

Theoretical X-ray powder pattern
Compound: AgHgF
Radiation: CuKα
Structure: a DFT-relaxed cell (PBE, Alexandria)
Kinematic intensities with the Lorentz-polarization factor, no thermal factor.

Main lines, by intensity (10° ≤ 2θ ≤ 90°):
33.0 deg, 2.716 Å, I = 100
41.0 deg, 2.203 Å, I = 59
20.6 deg, 4.310 Å, I = 31
40.2 deg, 2.241 Å, I = 30
52.3 deg, 1.748 Å, I = 19
44.6 deg, 2.031 Å, I = 16

Cell and atoms:
```
data_AgHgF
_space_group_name_H-M_alt 'I 21 21 21'
_space_group_IT_number 24
_cell_length_a 5.084
_cell_length_b 5.247
_cell_length_c 8.126
_cell_angle_alpha 90.00
_cell_angle_beta 90.00
_cell_angle_gamma 90.00
loop_
_space_group_symop_operation_xyz
'x,y,z'
'-x,-y+1/2,z'
'x,-y,-z+1/2'
'-x,y+1/2,-z+1/2'
'x+1/2,y+1/2,z+1/2'
'-x+1/2,-y,z+1/2'
'x+1/2,-y+1/2,-z'
'-x+1/2,y,-z'
loop_
_atom_site_label
_atom_site_type_symbol
_atom_site_fract_x
_atom_site_fract_y
_atom_site_fract_z
_atom_site_occupancy
Ag1 Ag 0.250 0.113 0.000 1
Hg1 Hg 0.145 0.500 0.750 1
F1 F 0.000 0.250 0.389 1
```